Structure and simulated X-ray powder pattern of In2P3Se9 (the GGA-PBE geometry in the Materials Project; Cu Kα (λ = 1.5418 Å)).
Peak positions follow from Bragg's law for the DFT cell and can differ from measured ones.

Largest 10 diffraction maxima, sorted by position, 15 to 90 degrees two-theta:
24.76 deg, intensity 27, (0 2 -2)
30.01 deg, intensity 100, (1 0 4)
30.14 deg, intensity 15, (1 2 2)
30.29 deg, intensity 47, (2 1 -2)
37.09 deg, intensity 33, (-1 3 2)
37.32 deg, intensity 18, (1 1 -6)
47.17 deg, intensity 21, (1 4 0)
48.25 deg, intensity 15, (0 2 7)
48.37 deg, intensity 16, (-3 1 5)
48.47 deg, intensity 16, (3 1 2)

Crystal structure
Cell: 6.506 8.121 15.372 Å, 90.75 102.02 90.64°
Space group P-1 (No. 2)
Unique sites:
In 0.059 0.124 0.118 [2 per cell]
In 0.285 0.562 0.570 [2 per cell]
P 0.150 0.459 0.297 [2 per cell]
P 0.177 0.212 0.367 [2 per cell]
P 0.471 0.123 0.965 [2 per cell]
Se 0.036 0.634 0.391 [2 per cell]
Se 0.083 0.574 0.827 [2 per cell]
Se 0.137 0.858 0.612 [2 per cell]
Se 0.206 0.810 0.056 [2 per cell]
Se 0.254 0.076 0.837 [2 per cell]
Se 0.304 0.037 0.284 [2 per cell]
Se 0.372 0.300 0.057 [2 per cell]
Se 0.411 0.258 0.496 [2 per cell]
Se 0.462 0.530 0.274 [2 per cell]